Starting from DFT lattice parameters and positions (PBE), the X-ray powder pattern of KSn4P3O12 was simulated for a wavelength of 1.5418 Å.
Intensities are scaled so that the largest is 100.

Structure:
```
data_KSn4P3O12
_cell_length_a 10.0763
_cell_length_b 10.0763
_cell_length_c 25.2147
_cell_angle_alpha 90.00
_cell_angle_beta 90.00
_cell_angle_gamma 120.00
_symmetry_space_group_name_H-M 'R 3 c'
_symmetry_Int_Tables_number 161
_symmetry_space_group_name_Hall 'R 3 -2"c'
loop_
_atom_site_label
_atom_site_fract_x
_atom_site_fract_y
_atom_site_fract_z
_atom_site_occupancy
K1 0.0000 0.0000 0.0000 1
Sn1 0.0000 0.0000 0.3518 1
Sn2 0.0711 0.4919 0.3805 1
P1 0.1369 0.3382 0.5847 1
O1 0.0047 0.1731 0.9030 1
O2 0.0437 0.4491 0.7093 1
O3 0.1160 0.4129 0.2539 1
O4 0.1388 0.3468 0.1404 1
```

Main lines, in order of rising 2θ (10 to 90 degrees two-theta):
2theta, d_spacing, Rel. int.
21.14, 4.202, 40
21.55, 4.123, 100
30.59, 2.922, 24
35.12, 2.555, 20
37.61, 2.392, 23
49.04, 1.858, 21

---

Starting from DFT lattice parameters and positions (PBE), the X-ray powder pattern of Y2Te5O13 was simulated for a wavelength of 1.5418 Å.
Intensities are scaled so that the largest is 100.

Structure:
```
data_Y2Te5O13
_cell_length_a 7.0534
_cell_length_b 8.8038
_cell_length_c 10.8188
_cell_angle_alpha 89.41
_cell_angle_beta 87.50
_cell_angle_gamma 75.15
_symmetry_space_group_name_H-M 'P -1'
_symmetry_Int_Tables_number 2
loop_
_symmetry_equiv_pos_as_xyz
'x,y,z'
'-x,-y,-z'
loop_
_atom_site_label
_atom_site_fract_x
_atom_site_fract_y
_atom_site_fract_z
_atom_site_occupancy
Y1 0.0002 0.2380 0.2388 1
Y2 0.4461 0.9734 0.8218 1
Te1 0.1208 0.8513 0.1077 1
Te2 0.1535 0.3032 0.6448 1
Te3 0.2712 0.8943 0.4898 1
Te4 0.2917 0.3744 0.9780 1
Te5 0.4424 0.3987 0.3007 1
O1 0.0433 0.8509 0.5668 1
O2 0.0612 0.3168 0.0384 1
O3 0.0649 0.5157 0.6921 1
O4 0.0667 0.7657 0.2750 1
O5 0.1229 0.9898 0.8944 1
O6 0.2357 0.9948 0.1870 1
O7 0.3158 0.2346 0.2858 1
O8 0.3267 0.2413 0.7762 1
O9 0.3268 0.7285 0.7774 1
O10 0.3354 0.0151 0.6191 1
O11 0.3509 0.4794 0.1256 1
O12 0.4571 0.6956 0.5225 1
O13 0.4664 0.1698 0.9993 1
```

Main lines, in order of rising 2θ (10 to 90 degrees two-theta):
2theta, d_spacing, Rel. int.
26.89, 3.316, 100
27.22, 3.276, 61
27.41, 3.254, 47
30.42, 2.938, 33
31.60, 2.831, 23
44.97, 2.016, 24

---

Starting from DFT lattice parameters and positions (PBE), the X-ray powder pattern of RbHgTe2Au was simulated for a wavelength of 1.5418 Å.
Intensities are scaled so that the largest is 100.

Structure:
```
data_RbHgTe2Au
_cell_length_a 7.2303
_cell_length_b 6.9648
_cell_length_c 8.0395
_cell_angle_alpha 90.00
_cell_angle_beta 107.76
_cell_angle_gamma 90.00
_symmetry_space_group_name_H-M 'P 1 2/c 1'
_symmetry_Int_Tables_number 13
loop_
_symmetry_equiv_pos_as_xyz
'x,y,z'
'-x,-y,-z'
'-x,y,-z+1/2'
'x,-y,z+1/2'
loop_
_atom_site_label
_atom_site_fract_x
_atom_site_fract_y
_atom_site_fract_z
_atom_site_occupancy
Rb1 0.0000 0.1985 0.2500 1
Hg1 0.5000 0.4823 0.2500 1
Te1 0.2682 0.2951 0.9332 1
Au1 0.5000 0.0000 0.0000 1
```

Main lines, in order of rising 2θ (10 to 90 degrees two-theta):
2theta, d_spacing, Rel. int.
12.86, 6.886, 100
23.59, 3.771, 39
26.26, 3.394, 47
28.73, 3.108, 54
32.67, 2.741, 45
36.71, 2.448, 41

---

Starting from DFT lattice parameters and positions (PBE), the X-ray powder pattern of AcNi3Rh was simulated for a wavelength of 1.5418 Å.
Intensities are scaled so that the largest is 100.

Structure:
```
data_AcNi3Rh
_cell_length_a 5.5960
_cell_length_b 11.8493
_cell_length_c 5.0978
_cell_angle_alpha 90.00
_cell_angle_beta 90.00
_cell_angle_gamma 90.00
_symmetry_space_group_name_H-M 'C m c m'
_symmetry_Int_Tables_number 63
_symmetry_space_group_name_Hall '-C 2c 2'
loop_
_atom_site_label
_atom_site_fract_x
_atom_site_fract_y
_atom_site_fract_z
_atom_site_occupancy
Ac1 0.0000 0.1105 0.2500 1
Ni1 0.0000 0.3105 0.7500 1
Ni2 0.2175 0.3435 0.2500 1
Rh1 0.0000 0.5000 0.0000 1
```

Main lines, in order of rising 2θ (10 to 90 degrees two-theta):
2theta, d_spacing, Rel. int.
23.02, 3.864, 28
32.85, 2.727, 61
39.59, 2.276, 41
39.77, 2.266, 100
41.37, 2.182, 47
47.03, 1.932, 36

---

Starting from DFT lattice parameters and positions (PBE), the X-ray powder pattern of TbNi4Ge was simulated for a wavelength of 1.5418 Å.
Intensities are scaled so that the largest is 100.

Structure:
```
data_TbNi4Ge
_cell_length_a 3.7343
_cell_length_b 14.7502
_cell_length_c 6.2568
_cell_angle_alpha 90.00
_cell_angle_beta 90.00
_cell_angle_gamma 90.00
_symmetry_space_group_name_H-M 'C m c m'
_symmetry_Int_Tables_number 63
_symmetry_space_group_name_Hall '-C 2c 2'
loop_
_atom_site_label
_atom_site_fract_x
_atom_site_fract_y
_atom_site_fract_z
_atom_site_occupancy
Tb1 0.0000 0.1015 0.2500 1
Ni1 0.0000 0.0797 0.7500 1
Ni2 0.0000 0.3271 0.0582 1
Ni3 0.0000 0.5000 0.0000 1
Ge1 0.0000 0.2382 0.7500 1
```

Main lines, in order of rising 2θ (10 to 90 degrees two-theta):
2theta, d_spacing, Rel. int.
33.36, 2.686, 36
38.02, 2.367, 100
38.91, 2.315, 58
47.01, 1.933, 51
48.77, 1.867, 33
70.07, 1.343, 29

---

Starting from DFT lattice parameters and positions (PBE), the X-ray powder pattern of HoH12C2O4F was simulated for a wavelength of 1.5418 Å.
Intensities are scaled so that the largest is 100.

Structure:
```
data_HoH12C2O4F
_cell_length_a 10.9785
_cell_length_b 12.5288
_cell_length_c 7.4564
_cell_angle_alpha 90.00
_cell_angle_beta 122.59
_cell_angle_gamma 90.00
_symmetry_space_group_name_H-M 'C 1 2/c 1'
_symmetry_Int_Tables_number 15
loop_
_symmetry_equiv_pos_as_xyz
'x,y,z'
'-x,-y,-z'
'-x,y,-z+1/2'
'x,-y,z+1/2'
'x+1/2,y+1/2,z'
'-x+1/2,-y+1/2,-z'
'-x+1/2,y+1/2,-z+1/2'
'x+1/2,-y+1/2,z+1/2'
loop_
_atom_site_label
_atom_site_fract_x
_atom_site_fract_y
_atom_site_fract_z
_atom_site_occupancy
Ho1 0.0000 0.0971 0.2500 1
H1 0.0256 0.3781 0.7314 1
H2 0.0889 0.3945 0.1322 1
H3 0.1231 0.1881 0.8328 1
H4 0.1275 0.4408 0.2060 1
H5 0.1687 0.1641 0.9420 1
H6 0.2476 0.0175 0.0187 1
C1 0.2102 0.2752 0.5488 1
O1 0.0893 0.2345 0.4937 1
O2 0.2267 0.1472 0.3249 1
F1 0.0000 0.0000 0.0000 1
```

Main lines, in order of rising 2θ (10 to 90 degrees two-theta):
2theta, d_spacing, Rel. int.
11.89, 7.442, 100
13.96, 6.343, 63
19.19, 4.625, 15
20.02, 4.436, 44
21.86, 4.066, 18
30.02, 2.976, 19

---

Starting from DFT lattice parameters and positions (PBE), the X-ray powder pattern of Np3P2PtRh9 was simulated for a wavelength of 1.5418 Å.
Intensities are scaled so that the largest is 100.

Structure:
```
data_Np3P2PtRh9
_cell_length_a 5.4976
_cell_length_b 5.4976
_cell_length_c 10.6770
_cell_angle_alpha 90.00
_cell_angle_beta 90.00
_cell_angle_gamma 120.00
_symmetry_space_group_name_H-M 'P -3 m 1'
_symmetry_Int_Tables_number 164
_symmetry_space_group_name_Hall '-P 3 2"'
loop_
_atom_site_label
_atom_site_fract_x
_atom_site_fract_y
_atom_site_fract_z
_atom_site_occupancy
Np1 0.0000 0.0000 0.0000 1
Np2 0.3333 0.6667 0.5743 1
P1 0.3333 0.6667 0.1570 1
Pt1 0.0000 0.0000 0.5000 1
Rh1 0.0000 0.5000 0.0000 1
Rh2 0.1627 0.3253 0.3016 1
```

Main lines, in order of rising 2θ (10 to 90 degrees two-theta):
2theta, d_spacing, Rel. int.
25.04, 3.556, 41
31.38, 2.851, 33
36.78, 2.444, 48
38.73, 2.325, 100
41.53, 2.174, 87
68.22, 1.375, 32

---

Starting from DFT lattice parameters and positions (PBE), the X-ray powder pattern of Nb6AuN was simulated for a wavelength of 1.5418 Å.
Intensities are scaled so that the largest is 100.

Structure:
```
data_Nb6AuN
_cell_length_a 4.9179
_cell_length_b 5.3804
_cell_length_c 5.4313
_cell_angle_alpha 98.16
_cell_angle_beta 107.35
_cell_angle_gamma 94.01
_symmetry_space_group_name_H-M 'P -1'
_symmetry_Int_Tables_number 2
loop_
_symmetry_equiv_pos_as_xyz
'x,y,z'
'-x,-y,-z'
loop_
_atom_site_label
_atom_site_fract_x
_atom_site_fract_y
_atom_site_fract_z
_atom_site_occupancy
Nb1 0.0659 0.2953 0.1450 1
Nb2 0.2127 0.8509 0.4380 1
Nb3 0.3921 0.4092 0.7308 1
Au1 0.5000 0.0000 0.0000 1
N1 0.0000 0.5000 0.5000 1
```

Main lines, in order of rising 2θ (10 to 90 degrees two-theta):
2theta, d_spacing, Rel. int.
36.36, 2.471, 53
36.91, 2.435, 52
37.06, 2.426, 100
39.82, 2.264, 45
40.16, 2.245, 46
48.03, 1.894, 24

---

Starting from DFT lattice parameters and positions (PBE), the X-ray powder pattern of Pr3Er8 was simulated for a wavelength of 1.5418 Å.
Intensities are scaled so that the largest is 100.

Structure:
```
data_Pr3Er8
_cell_length_a 3.5687
_cell_length_b 3.5687
_cell_length_c 95.3387
_cell_angle_alpha 90.00
_cell_angle_beta 90.00
_cell_angle_gamma 120.00
_symmetry_space_group_name_H-M 'R -3 m'
_symmetry_Int_Tables_number 166
_symmetry_space_group_name_Hall '-R 3 2"'
loop_
_atom_site_label
_atom_site_fract_x
_atom_site_fract_y
_atom_site_fract_z
_atom_site_occupancy
Pr1 0.0000 0.0000 0.0000 1
Pr2 0.0000 0.0000 0.2719 1
Er1 0.0000 0.0000 0.0924 1
Er2 0.0000 0.0000 0.1815 1
Er3 0.0000 0.0000 0.3641 1
Er4 0.0000 0.0000 0.4554 1
```

Main lines, in order of rising 2θ (10 to 90 degrees two-theta):
2theta, d_spacing, Rel. int.
30.71, 2.911, 100
30.95, 2.889, 32
35.68, 2.516, 66
51.20, 1.784, 24
51.51, 1.774, 22
61.04, 1.518, 28

---

Starting from DFT lattice parameters and positions (PBE), the X-ray powder pattern of GdCd6 was simulated for a wavelength of 1.5418 Å.
Intensities are scaled so that the largest is 100.

Structure:
```
data_GdCd6
_cell_length_a 7.7323
_cell_length_b 7.7323
_cell_length_c 7.7323
_cell_angle_alpha 90.00
_cell_angle_beta 90.00
_cell_angle_gamma 90.00
_symmetry_space_group_name_H-M 'I m -3 m'
_symmetry_Int_Tables_number 229
_symmetry_space_group_name_Hall '-I 4 2 3'
loop_
_atom_site_label
_atom_site_fract_x
_atom_site_fract_y
_atom_site_fract_z
_atom_site_occupancy
Gd1 0.0000 0.0000 0.0000 1
Cd1 0.0000 0.2500 0.5000 1
```

Main lines, in order of rising 2θ (10 to 90 degrees two-theta):
2theta, d_spacing, Rel. int.
23.00, 3.866, 42
28.27, 3.157, 100
40.41, 2.232, 24
43.81, 2.067, 60
47.01, 1.933, 29
68.67, 1.367, 18

---

Starting from DFT lattice parameters and positions (PBE), the X-ray powder pattern of Ni3Te8Pt was simulated for a wavelength of 1.5418 Å.
Intensities are scaled so that the largest is 100.

Structure:
```
data_Ni3Te8Pt
_cell_length_a 6.5868
_cell_length_b 6.6420
_cell_length_c 7.8983
_cell_angle_alpha 107.76
_cell_angle_beta 106.87
_cell_angle_gamma 106.74
_symmetry_space_group_name_H-M 'P -1'
_symmetry_Int_Tables_number 2
loop_
_symmetry_equiv_pos_as_xyz
'x,y,z'
'-x,-y,-z'
loop_
_atom_site_label
_atom_site_fract_x
_atom_site_fract_y
_atom_site_fract_z
_atom_site_occupancy
Ni1 0.0000 0.0000 0.0000 1
Ni2 0.0000 0.0000 0.5000 1
Ni3 0.5000 0.5000 0.0000 1
Te1 0.0291 0.2809 0.3307 1
Te2 0.0422 0.2885 0.8348 1
Te3 0.4510 0.2067 0.1540 1
Te4 0.4544 0.2023 0.6697 1
Pt1 0.5000 0.5000 0.5000 1
```

Main lines, in order of rising 2θ (10 to 90 degrees two-theta):
2theta, d_spacing, Rel. int.
16.70, 5.308, 23
30.98, 2.887, 64
31.18, 2.868, 100
42.94, 2.106, 21
45.96, 1.974, 61
58.55, 1.577, 13